[1]
The following is a simulated powder diffraction line list of PmHf4Ru5. It was derived from a cell relaxed with GGA-PBE, using Cu Kα X-rays.

Largest 10 diffraction maxima, low angle first, 2θ = 10–90°:
26.71°, d 3.338, I = 5
27.26°, d 3.271, I = 8
38.54°, d 2.336, I = 100
38.94°, d 2.313, I = 53
55.03°, d 1.669, I = 7
56.24°, d 1.636, I = 18
69.45°, d 1.353, I = 14
70.25°, d 1.340, I = 34
82.60°, d 1.168, I = 9
83.61°, d 1.157, I = 6

Structure:
Lattice parameters (Å, degrees): 3.2711 3.2711 16.6882 90.00 90.00 90.00
Sites, in units of the cell vectors:
Pm (0.0000, 0.0000, 0.0000)
Hf (0.0000, 0.0000, 0.2071)
Hf (0.0000, 0.0000, 0.4025)
Hf (0.0000, 0.0000, 0.5975)
Hf (0.0000, 0.0000, 0.7929)
Ru (0.5000, 0.5000, 0.1189)
Ru (0.5000, 0.5000, 0.3084)
Ru (0.5000, 0.5000, 0.5000)
Ru (0.5000, 0.5000, 0.6916)
Ru (0.5000, 0.5000, 0.8811)

[2]
The following is a simulated powder diffraction line list of Pm3HfTl4S8. It was derived from a cell relaxed with GGA-PBE, using Cu Kα X-rays.

Largest 10 diffraction maxima, low angle first, 2θ = 10–90°:
23.18°, d 3.837, I = 33
26.75°, d 3.333, I = 65
29.99°, d 2.979, I = 100
40.69°, d 2.217, I = 27
45.10°, d 2.010, I = 33
47.38°, d 1.919, I = 14
51.30°, d 1.781, I = 25
55.11°, d 1.667, I = 18
67.50°, d 1.388, I = 15
73.86°, d 1.283, I = 15

Structure:
Lattice parameters (Å, degrees): 8.0425 8.0425 8.9772 116.70 116.70 59.99
Sites, in units of the cell vectors:
Pm (0.0000, 0.0000, 0.0000)
Pm (0.0000, 0.5000, 0.0000)
Pm (0.5000, 0.0000, 0.0000)
Hf (0.5000, 0.5000, 0.0000)
Tl (0.0000, 0.0000, 0.5000)
Tl (0.0000, 0.5000, 0.5000)
Tl (0.5000, 0.0000, 0.5000)
Tl (0.5000, 0.5000, 0.5000)
S (0.2355, 0.2355, 0.2060)
S (0.2588, 0.7173, 0.1929)
S (0.2826, 0.2826, 0.8069)
S (0.2827, 0.7412, 0.8071)
S (0.7173, 0.2588, 0.1929)
S (0.7174, 0.7174, 0.1931)
S (0.7412, 0.2827, 0.8071)
S (0.7645, 0.7645, 0.7940)

[3]
The following is a simulated powder diffraction line list of PmHfSc4. It was derived from a cell relaxed with GGA-PBE, using Cu Kα X-rays.

Largest 10 diffraction maxima, low angle first, 2θ = 10–90°:
13.69°, d 6.468, I = 100
24.13°, d 3.688, I = 26
27.58°, d 3.234, I = 39
34.03°, d 2.634, I = 37
34.17°, d 2.624, I = 74
34.33°, d 2.612, I = 100
34.74°, d 2.582, I = 52
37.12°, d 2.422, I = 34
44.59°, d 2.032, I = 41
68.22°, d 1.375, I = 25

Structure:
Lattice parameters (Å, degrees): 8.3140 8.3140 8.3140 143.81 77.86 113.78
Sites, in units of the cell vectors:
Pm (0.4020, 0.1520, 0.2500)
Pm (0.5980, 0.8480, 0.7500)
Hf (0.0693, 0.8193, 0.2500)
Hf (0.9307, 0.1807, 0.7500)
Sc (0.1085, 0.4821, 0.6264)
Sc (0.1622, 0.1656, 0.9967)
Sc (0.3311, 0.8344, 0.4967)
Sc (0.3557, 0.4821, 0.8736)
Sc (0.6443, 0.5179, 0.1264)
Sc (0.6689, 0.1656, 0.5033)
Sc (0.8378, 0.8344, 0.0033)
Sc (0.8915, 0.5179, 0.3736)